# Rb6Co2O5
Simulated powder diffractogram, Cu Kα (λ = 1.5418 Å). Input: a PBE+U-relaxed structure.
Neutral-atom scattering factors, no anomalous dispersion.

Structure:
abc: 6.848 6.848 6.802
angles: 92.21 92.21 117.60
Atoms (fractional coordinates):
Rb  0.000  0.000  0.000
Rb  0.294  0.294  0.619
Rb  0.410  0.887  0.300
Rb  0.439  0.849  0.793
Rb  0.849  0.439  0.793
Rb  0.887  0.410  0.300
Co  0.436  0.436  0.124
Co  0.846  0.846  0.499
O  0.086  0.809  0.566
O  0.214  0.488  0.025
O  0.488  0.214  0.025
O  0.590  0.590  0.374
O  0.809  0.086  0.566

Principal peaks in the range 10° ≤ 2θ ≤ 90°, sorted by position:
26.06°, I = 16; 29.35°, I = 31; 29.50°, I = 58; 30.48°, I = 100; 35.27°, I = 18; 38.08°, I = 37